Structure and computed X-ray powder pattern of K6CoO4 (a cell relaxed with PBE+U; Cu Kα, 1.54184 Å).

Most intense lines, 2θ = 5–70°, low angle first:
(hkl)	two_theta	d/Å	I/Imax
1 0 0	11.89	7.441	430
1 0 1	17.89	4.957	180
2 0 1	27.47	3.246	280
1 0 2	29.43	3.035	312
2 1 1	34.63	2.590	1000
2 0 2	36.24	2.479	540
3 0 1	38.75	2.324	243
2 2 0	42.07	2.148	570
1 0 3	42.57	2.124	213
2 0 4	61.04	1.518	257

Crystal structure
Cell lengths 8.5916, 8.5916, 6.6471 Å; angles 90.00, 90.00, 120.00 degrees
Space group P6_3mc (No. 186)
Unique sites:
K: 0.0725 0.5362 0.0000 [6 per cell]
K: 0.1455 0.2910 0.3331 [6 per cell]
Co: 0.3333 0.6667 0.6106 [2 per cell]
O: 0.2012 0.4023 0.7117 [6 per cell]
O: 0.3333 0.6667 0.3046 [2 per cell]